Calculated PXRD pattern
Compound: NiH2I3
Radiation: CuKα
Structure: DFT lattice parameters and positions (GGA-PBE)
Intensities are scaled so that the largest is 100.

Top 10 peaks for 2θ = 15–90°, in order of rising 2θ:
2θ/deg  I_rel
17.17  58.6
21.34  67.9
24.54  87.3
25.57  100.0
28.07  62.8
33.44  28.7
33.54  40.1
35.08  24.4
41.36  25.4
47.04  28.1

Structure:
```
NiH2I3
1.0
5.1672 -4.1634 0.0000
5.1672 4.1634 0.0000
-0.5107 0.0000 8.9676
Ni H I
2 4 6
Direct
0.0731 0.9269 0.7500
0.9269 0.0731 0.2500
0.2528 0.3724 0.8368
0.3724 0.2528 0.3368
0.6276 0.7472 0.6632
0.7472 0.6276 0.1632
0.1480 0.1971 0.9361
0.1971 0.1480 0.4361
0.3780 0.6220 0.7500
0.6220 0.3780 0.2500
0.8029 0.8520 0.5639
0.8520 0.8029 0.0639
```